Structure and theoretical PXRD pattern of Pm7Y3Th (a crystal structure in Alexandria, relaxed with GGA-PBE; Cu Kα (λ = 1.5418 Å)).
Intensities are scaled so that the largest is 100.

Atomic structure:
Cell lengths 10.226, 10.226, 12.541 Å; angles 113.95, 113.95, 41.47 degrees
Fractional positions:
1 Pm 0.079 0.589 0.471
2 Pm 0.082 0.586 0.972
3 Pm 0.233 0.767 0.750
4 Pm 0.333 0.340 0.222
5 Pm 0.340 0.333 0.722
6 Pm 0.411 0.921 0.029
7 Pm 0.414 0.918 0.528
8 Pm 0.586 0.082 0.472
9 Pm 0.589 0.079 0.971
10 Pm 0.660 0.667 0.278
11 Pm 0.667 0.660 0.778
12 Pm 0.767 0.233 0.250
13 Pm 0.918 0.414 0.028
14 Pm 0.921 0.411 0.529
15 Y 0.165 0.166 0.774
16 Y 0.166 0.165 0.274
17 Y 0.500 0.500 0.000
18 Y 0.500 0.500 0.500
19 Y 0.834 0.835 0.726
20 Y 0.835 0.834 0.226
21 Th 0.000 0.000 0.000
22 Th 0.000 0.000 0.500

Top 8 peaks for 2θ = 15–90°, in order of rising 2θ:
2θ 28.68, I 32.5; 2θ 29.31, I 22.1; 2θ 31.14, I 50.7; 2θ 31.72, I 100.0; 2θ 33.43, I 84.0; 2θ 50.41, I 38.5; 2θ 54.71, I 15.5; 2θ 60.41, I 29.8